Simulated XRD peak list of P for Cu Kα (weighted mean of Kα1 and Kα2), from a crystal structure in Alexandria, relaxed with PBE.
Lines closer than 0.1° are merged.

Cell and atoms:
Lattice parameters (Å, degrees): 5.6270 11.1531 6.3460 90.00 104.42 90.00
Fractional coordinates of all 10 atoms:
P 0.0000 0.0000 0.0000
P 0.0551 0.1010 0.5564
P 0.0551 0.8990 0.5564
P 0.0780 0.1552 0.2252
P 0.0780 0.8448 0.2252
P 0.4704 0.1027 0.2552
P 0.4704 0.8973 0.2552
P 0.6120 0.0000 0.7914
P 0.6803 0.1541 0.5863
P 0.6803 0.8459 0.5863

Peak list (12 most intense, 2θ = 10–90°, in order of rising 2θ)
(hkl), two_theta, d (Å), I_rel
0 0 1, 14.41, 6.146, 68
1 0 -1, 18.88, 4.700, 46
1 1 -1, 20.51, 4.331, 32
0 3 0, 23.94, 3.718, 33
0 3 1, 28.05, 3.181, 65
1 1 -2, 30.69, 2.913, 44
2 0 -1, 32.46, 2.759, 32
2 0 0, 32.87, 2.725, 52
2 1 0, 33.83, 2.650, 100
0 4 1, 35.35, 2.539, 46
1 1 2, 37.94, 2.372, 39
1 5 -1, 44.99, 2.015, 39